Entry 1:
# NaSm2InS5
Calculated XRD peak list, Cu Kα, 1.54184 Å. Input: a crystal structure in Alexandria, relaxed with PBE.
Lines closer than 0.1° are merged.

Atomic structure:
a = 8.671 Å, b = 8.671 Å, c = 11.900 Å
α = 90.00°, β = 90.00°, γ = 153.44°
Atoms (fractional coordinates):
Na  0.211  0.789  0.500
Na  0.789  0.211  0.000
Sm  0.119  0.881  0.174
Sm  0.141  0.859  0.794
Sm  0.859  0.141  0.294
Sm  0.881  0.119  0.674
In  0.452  0.548  0.950
In  0.548  0.452  0.450
S  0.046  0.954  0.571
S  0.288  0.712  0.168
S  0.321  0.679  0.834
S  0.370  0.630  0.493
S  0.491  0.509  0.262
S  0.509  0.491  0.762
S  0.630  0.370  0.993
S  0.679  0.321  0.334
S  0.712  0.288  0.668
S  0.954  0.046  0.071

The 12 most intense peaks (2θ from 10° to 90°), low angle first:
21.1°, intensity 23.4
24.8°, intensity 51.4
25.9°, intensity 24.0
27.5°, intensity 100.0
31.4°, intensity 17.4
32.3°, intensity 60.2
32.7°, intensity 37.8
38.1°, intensity 31.6
39.3°, intensity 22.4
41.8°, intensity 48.1
44.6°, intensity 23.7
45.6°, intensity 36.8

=====

Entry 2:
# NaInSn2S4
Calculated XRD peak list, Cu Kα, 1.54184 Å. Input: a crystal structure in Alexandria, relaxed with PBE.
Lines closer than 0.1° are merged.

Atomic structure:
a = 8.528 Å, b = 6.720 Å, c = 7.848 Å
α = 90.00°, β = 90.00°, γ = 90.00°
Atoms (fractional coordinates):
Na  0.000  0.229  0.000
Na  0.500  0.771  0.500
In  0.000  0.751  0.514
In  0.500  0.249  0.014
Sn  0.244  0.771  0.992
Sn  0.256  0.229  0.492
Sn  0.744  0.229  0.492
Sn  0.756  0.771  0.992
S  0.000  0.088  0.663
S  0.000  0.860  0.208
S  0.237  0.578  0.622
S  0.263  0.422  0.122
S  0.500  0.140  0.708
S  0.500  0.912  0.163
S  0.737  0.422  0.122
S  0.763  0.578  0.622

The 12 most intense peaks (2θ from 10° to 90°), low angle first:
15.3°, intensity 15.4
16.8°, intensity 16.8
22.7°, intensity 41.6
26.5°, intensity 23.9
27.3°, intensity 100.0
35.2°, intensity 30.2
42.4°, intensity 16.3
42.7°, intensity 45.8
47.3°, intensity 36.6
48.6°, intensity 10.8
54.1°, intensity 10.4
56.2°, intensity 15.4